This entry pairs a crystal structure of KVI2O8 with its computed powder XRD pattern. Radiation: copper Kα. Structure: a DFT-relaxed cell (GGA+U, Alexandria).
No peak broadening, texture or thermal motion is included.

Cell and atoms:
```
KVI2O8
1.0
9.790 0.000 0.000
0.000 5.317 0.000
-5.900 0.000 15.430
K V I O
4 4 8 32
direct
0.085 0.228 0.410
0.085 0.272 0.910
0.915 0.728 0.090
0.915 0.772 0.590
0.300 0.713 0.315
0.300 0.787 0.815
0.700 0.213 0.185
0.700 0.287 0.685
0.228 0.219 0.180
0.228 0.281 0.680
0.437 0.664 0.071
0.437 0.836 0.571
0.563 0.164 0.429
0.563 0.336 0.929
0.772 0.719 0.320
0.772 0.781 0.820
0.077 0.230 0.079
0.077 0.270 0.579
0.159 0.563 0.722
0.159 0.937 0.222
0.161 0.045 0.742
0.161 0.455 0.242
0.261 0.680 0.404
0.261 0.820 0.904
0.302 0.655 0.124
0.302 0.845 0.624
0.385 0.135 0.512
0.385 0.365 0.012
0.397 0.046 0.336
0.397 0.454 0.836
0.453 0.549 0.326
0.453 0.951 0.826
0.547 0.049 0.174
0.547 0.451 0.674
0.603 0.546 0.164
0.603 0.954 0.664
0.615 0.635 0.988
0.615 0.865 0.488
0.698 0.155 0.376
0.698 0.345 0.876
0.739 0.180 0.096
0.739 0.320 0.596
0.839 0.545 0.758
0.839 0.955 0.258
0.841 0.063 0.778
0.841 0.437 0.278
0.923 0.730 0.421
0.923 0.770 0.921
```

The 6 most intense peaks (2θ = 5–70°), low angle first:
9.7°, 9.145 Å, I 73.7; 17.5°, 5.071 Å, I 45.3; 18.7°, 4.747 Å, I 44.7; 25.1°, 3.541 Å, I 79.6; 25.7°, 3.467 Å, I 58.9; 28.6°, 3.122 Å, I 100.0